[1]
The following is a calculated powder diffraction line list of Li4SBr2. It was derived from a structure optimized by DFT (GGA-PBE), using Cu Kα X-rays.

Crystal structure
a b c (Å): 7.635 7.635 10.689
angles (deg): 90.00 90.00 90.00
Space group P4_122 (No. 91)
Symmetry-distinct sites (fractional):
Li1 0.033 0.222 0.278
Li2 0.225 0.461 0.496
S1 0.000 0.251 0.500
Br1 0.247 0.247 0.875
Br2 0.257 0.500 0.250

Largest 12 diffraction maxima, in order of falling intensity, 2θ from 5° to 70°:
- d = 3.253 Å, I = 100.0
- d = 3.229 Å, I = 49.4
- d = 3.798 Å, I = 38.9
- d = 1.899 Å, I = 35.0
- d = 3.106 Å, I = 31.8
- d = 2.077 Å, I = 30.8
- d = 3.818 Å, I = 19.4
- d = 1.909 Å, I = 17.6
- d = 2.200 Å, I = 16.5
- d = 2.059 Å, I = 15.0
- d = 1.643 Å, I = 12.8
- d = 2.071 Å, I = 11.6

***

[2]
The following is a calculated powder diffraction line list of Sm2Y4Th. It was derived from a structure optimized by DFT (GGA-PBE), using Cu Kα X-rays.

Crystal structure
a b c (Å): 6.278 3.625 20.382
angles (deg): 90.00 95.91 90.00
Space group Cm (No. 8)
Symmetry-distinct sites (fractional):
Sm1 0.000 0.000 0.000
Sm2 0.094 0.000 0.286
Y1 0.190 0.000 0.571
Y2 0.213 0.500 0.143
Y3 0.285 0.000 0.856
Y4 0.309 0.500 0.430
Th1 0.405 0.500 0.713

Largest 12 diffraction maxima, in order of falling intensity, 2θ from 5° to 70°:
- d = 2.790 Å, I = 100.0
- d = 2.730 Å, I = 95.0
- d = 3.135 Å, I = 54.3
- d = 2.896 Å, I = 50.3
- d = 1.536 Å, I = 43.6
- d = 1.812 Å, I = 37.4
- d = 1.664 Å, I = 21.2
- d = 1.626 Å, I = 20.1
- d = 2.184 Å, I = 19.8
- d = 2.075 Å, I = 17.5
- d = 1.520 Å, I = 16.0
- d = 1.510 Å, I = 15.6

***

[3]
The following is a calculated powder diffraction line list of Dy2ErTh. It was derived from a structure optimized by DFT (GGA-PBE), using Cu Kα X-rays.

Crystal structure
a b c (Å): 3.5763 3.5763 11.4629
angles (deg): 90.00 90.00 120.00
Space group P-6m2 (No. 187)
Symmetry-distinct sites (fractional):
Dy1 0.0000 0.0000 0.2466
Er1 0.6667 0.3333 0.0000
Th1 0.6667 0.3333 0.5000

Largest 12 diffraction maxima, in order of falling intensity, 2θ from 5° to 70°:
- d = 2.725 Å, I = 100.0
- d = 2.866 Å, I = 25.3
- d = 3.097 Å, I = 24.0
- d = 1.517 Å, I = 22.8
- d = 1.626 Å, I = 21.5
- d = 1.788 Å, I = 19.5
- d = 2.103 Å, I = 16.4
- d = 1.495 Å, I = 16.4
- d = 1.362 Å, I = 4.1
- d = 1.549 Å, I = 3.2
- d = 1.433 Å, I = 3.1
- d = 11.463 Å, I = 2.6

***

[4]
The following is a calculated powder diffraction line list of V2Ni9Sn. It was derived from a structure optimized by DFT (GGA-PBE), using Cu Kα X-rays.

Crystal structure
a b c (Å): 3.622 3.622 10.840
angles (deg): 90.00 90.00 90.00
Space group P4/mmm (No. 123)
Symmetry-distinct sites (fractional):
V1 0.000 0.000 0.164
Ni1 0.000 0.500 0.000
Ni2 0.000 0.500 0.317
Ni3 0.500 0.500 0.159
Ni4 0.500 0.500 0.500
Sn1 0.000 0.000 0.500

Largest 12 diffraction maxima, in order of falling intensity, 2θ from 5° to 70°:
- d = 2.089 Å, I = 100.0
- d = 1.811 Å, I = 32.4
- d = 1.807 Å, I = 14.1
- d = 2.316 Å, I = 3.6
- d = 3.435 Å, I = 3.4
- d = 2.169 Å, I = 3.2
- d = 10.840 Å, I = 2.5
- d = 1.390 Å, I = 2.5
- d = 2.492 Å, I = 2.1
- d = 2.710 Å, I = 1.8
- d = 3.011 Å, I = 1.7
- d = 1.506 Å, I = 1.2

***

[5]
The following is a calculated powder diffraction line list of Mg6GaSn. It was derived from a structure optimized by DFT (GGA-PBE), using Cu Kα X-rays.

Crystal structure
a b c (Å): 5.052 6.270 11.206
angles (deg): 90.00 90.00 90.00
Space group Amm2 (No. 38)
Symmetry-distinct sites (fractional):
Mg1 0.000 0.000 0.000
Mg2 0.000 0.245 0.256
Mg3 0.500 0.000 0.832
Mg4 0.500 0.249 0.080
Ga1 0.500 0.000 0.308
Sn1 0.000 0.000 0.507

Largest 12 diffraction maxima, in order of falling intensity, 2θ from 5° to 70°:
- d = 2.406 Å, I = 100.0
- d = 5.472 Å, I = 50.0
- d = 2.526 Å, I = 34.1
- d = 2.450 Å, I = 32.0
- d = 3.752 Å, I = 30.2
- d = 3.712 Å, I = 27.7
- d = 2.709 Å, I = 24.7
- d = 2.801 Å, I = 21.7
- d = 1.434 Å, I = 19.2
- d = 1.354 Å, I = 15.1
- d = 2.736 Å, I = 14.4
- d = 1.604 Å, I = 13.5

***

[6]
The following is a calculated powder diffraction line list of Li5Cd2Sn4. It was derived from a structure optimized by DFT (GGA-PBE), using Cu Kα X-rays.

Crystal structure
a b c (Å): 7.979 17.881 3.203
angles (deg): 90.00 90.00 90.00
Space group Pbam (No. 55)
Symmetry-distinct sites (fractional):
Li1 0.000 0.000 0.000
Li2 0.124 0.435 0.000
Li3 0.202 0.203 0.000
Cd1 0.017 0.306 0.500
Sn1 0.111 0.851 0.500
Sn2 0.217 0.567 0.500

Largest 12 diffraction maxima, in order of falling intensity, 2θ from 5° to 70°:
- d = 3.203 Å, I = 100.0
- d = 3.899 Å, I = 95.4
- d = 2.475 Å, I = 72.0
- d = 3.643 Å, I = 60.0
- d = 2.431 Å, I = 54.7
- d = 1.936 Å, I = 48.9
- d = 2.405 Å, I = 46.2
- d = 2.549 Å, I = 37.9
- d = 1.994 Å, I = 35.4
- d = 2.388 Å, I = 21.2
- d = 1.914 Å, I = 21.1
- d = 3.263 Å, I = 17.3

***

[7]
The following is a calculated powder diffraction line list of Pb4AuO6. It was derived from a structure optimized by DFT (GGA-PBE), using Cu Kα X-rays.

Crystal structure
a b c (Å): 6.686 7.367 9.902
angles (deg): 73.62 89.62 75.26
Space group P1 (No. 1)
Symmetry-distinct sites (fractional):
Pb1 0.000 0.000 0.000
Pb2 0.005 0.566 0.790
Pb3 0.189 0.093 0.656
Pb4 0.273 0.498 0.391
Pb5 0.488 0.109 0.138
Pb6 0.581 0.333 0.716
Pb7 0.774 0.006 0.476
Pb8 0.944 0.377 0.187
Au1 0.416 0.666 0.905
Au2 0.748 0.617 0.406
O1 0.023 0.314 0.989
O2 0.234 0.393 0.677
O3 0.273 0.336 0.227
O4 0.305 0.954 0.894
O5 0.523 0.237 0.530
O6 0.543 0.380 0.920
O7 0.546 0.886 0.380
O8 0.725 0.571 0.621
O9 0.770 0.663 0.195
O10 0.780 0.158 0.241
O11 0.868 0.105 0.774
O12 0.971 0.363 0.426

Largest 12 diffraction maxima, in order of falling intensity, 2θ from 5° to 70°:
- d = 3.450 Å, I = 100.0
- d = 2.990 Å, I = 68.9
- d = 3.546 Å, I = 55.7
- d = 2.829 Å, I = 49.8
- d = 2.839 Å, I = 43.7
- d = 3.156 Å, I = 43.6
- d = 3.026 Å, I = 36.2
- d = 3.409 Å, I = 34.1
- d = 3.172 Å, I = 31.8
- d = 2.965 Å, I = 30.5
- d = 2.678 Å, I = 29.2
- d = 4.411 Å, I = 26.8

***

[8]
The following is a calculated powder diffraction line list of Tb2As4PtRh3. It was derived from a structure optimized by DFT (GGA-PBE), using Cu Kα X-rays.

Crystal structure
a b c (Å): 4.258 4.258 10.091
angles (deg): 90.00 90.00 90.00
Space group P-4m2 (No. 115)
Symmetry-distinct sites (fractional):
Tb1 0.000 0.500 0.250
As1 0.000 0.000 0.000
As2 0.000 0.500 0.641
As3 0.500 0.500 0.000
Pt1 0.000 0.000 0.500
Rh1 0.000 0.500 0.877
Rh2 0.500 0.500 0.500

Largest 12 diffraction maxima, in order of falling intensity, 2θ from 5° to 70°:
- d = 2.585 Å, I = 100.0
- d = 2.129 Å, I = 58.2
- d = 2.639 Å, I = 50.7
- d = 1.657 Å, I = 24.8
- d = 1.824 Å, I = 20.9
- d = 1.505 Å, I = 19.2
- d = 1.385 Å, I = 16.7
- d = 1.934 Å, I = 16.1
- d = 1.468 Å, I = 13.4
- d = 2.885 Å, I = 8.2
- d = 1.627 Å, I = 6.8
- d = 10.091 Å, I = 6.8